The following is a computed powder X-ray diffraction pattern of Li5DyAu6. It was derived from a cell relaxed with GGA-PBE, using Cu Ka.
No peak broadening, texture or thermal motion is included.

Peak list (12 most intense, 2θ = 15–90°, low angle first)
hkl 1 0 1, 2θ 27.4, d 3.260, rel. 56; hkl 0 2 0, 2θ 27.4, d 3.250, rel. 26; hkl 2 0 -1, 2θ 38.9, d 2.313, rel. 21; hkl 0 0 3, 2θ 39.2, d 2.300, rel. 100; hkl 2 2 -1, 2θ 48.3, d 1.885, rel. 12; hkl 0 2 3, 2θ 48.5, d 1.876, rel. 11; hkl 2 0 2, 2θ 56.4, d 1.631, rel. 7; hkl 2 2 -4, 2θ 63.9, d 1.457, rel. 10; hkl 1 0 -5, 2θ 64.0, d 1.454, rel. 13; hkl 3 2 0, 2θ 70.6, d 1.333, rel. 14; hkl 1 2 4, 2θ 71.0, d 1.327, rel. 19; hkl 2 4 -4, 2θ 84.1, d 1.151, rel. 8

Cell: 4.6267 6.4990 7.2650 Å, 90.00 108.47 90.00°
Atoms (fractional coordinates):
Li: 0.0000 0.0000 0.0000
Li: 0.3259 0.5000 0.6523
Li: 0.3362 0.0000 0.6745
Li: 0.6638 0.0000 0.3255
Li: 0.6741 0.5000 0.3477
Dy: 0.0000 0.5000 0.0000
Au: 0.1731 0.2351 0.3455
Au: 0.1731 0.7649 0.3455
Au: 0.5000 0.2274 0.0000
Au: 0.5000 0.7726 0.0000
Au: 0.8269 0.2351 0.6545
Au: 0.8269 0.7649 0.6545